(1)
Structure and calculated X-ray diffraction stick pattern of Hf4MnCo3 (the GGA-PBE geometry in Alexandria; Cu Kα X-rays).
Kinematic intensities with the Lorentz-polarization factor, no thermal factor.

The 8 most intense peaks (10° ≤ 2θ ≤ 90°), sorted by position:
2theta, d/Å, I/Imax
28.28, 3.156, 30
40.43, 2.231, 100
50.07, 1.822, 9
58.50, 1.578, 17
66.21, 1.411, 10
73.48, 1.289, 22
73.58, 1.287, 11
87.42, 1.116, 7

Crystal structure
Cell lengths 3.1558, 4.4674, 8.9148 Å; angles 90.00, 90.00, 90.00 degrees
Sites, in units of the cell vectors:
Hf 0.0000 0.0000 0.0000
Hf 0.0000 0.0000 0.5000
Hf 0.0000 0.5000 0.2461
Hf 0.0000 0.5000 0.7539
Mn 0.5000 0.5000 0.0000
Co 0.5000 0.0000 0.2509
Co 0.5000 0.0000 0.7491
Co 0.5000 0.5000 0.5000



(2)
Structure and calculated X-ray diffraction stick pattern of Hf3MnCo8 (the GGA-PBE geometry in Alexandria; Cu Kα X-rays).
Kinematic intensities with the Lorentz-polarization factor, no thermal factor.

The 8 most intense peaks (10° ≤ 2θ ≤ 90°), sorted by position:
2theta, d/Å, I/Imax
22.57, 3.940, 14
34.15, 2.626, 5
37.27, 2.413, 62
44.01, 2.058, 100
46.07, 1.970, 17
67.20, 1.393, 21
71.88, 1.313, 29
79.43, 1.206, 21

Crystal structure
Cell lengths 8.3533, 8.3533, 8.3533 Å; angles 33.59, 33.59, 33.59 degrees
Sites, in units of the cell vectors:
Hf 0.0000 0.0000 0.0000
Hf 0.1285 0.1285 0.1285
Hf 0.5117 0.5117 0.5117
Mn 0.6331 0.6331 0.6331
Co 0.0661 0.5674 0.5674
Co 0.0686 0.0686 0.5659
Co 0.0686 0.5659 0.0686
Co 0.3171 0.3171 0.3171
Co 0.5659 0.0686 0.0686
Co 0.5674 0.0661 0.5674
Co 0.5674 0.5674 0.0661
Co 0.8171 0.8171 0.8171



(3)
Structure and calculated X-ray diffraction stick pattern of HfTiCoMo (the GGA-PBE geometry in Alexandria; Cu Kα X-rays).
Kinematic intensities with the Lorentz-polarization factor, no thermal factor.

The 8 most intense peaks (10° ≤ 2θ ≤ 90°), sorted by position:
2theta, d/Å, I/Imax
24.46, 3.639, 30
40.48, 2.228, 100
47.87, 1.900, 16
58.59, 1.576, 16
64.44, 1.446, 7
73.63, 1.286, 33
78.93, 1.213, 5
87.57, 1.114, 11

Crystal structure
Cell lengths 6.3024, 6.3024, 6.3024 Å; angles 90.00, 90.00, 90.00 degrees
Sites, in units of the cell vectors:
Hf 0.0000 0.0000 0.0000
Hf 0.0000 0.5000 0.5000
Hf 0.5000 0.0000 0.5000
Hf 0.5000 0.5000 0.0000
Ti 0.0000 0.0000 0.5000
Ti 0.0000 0.5000 0.0000
Ti 0.5000 0.0000 0.0000
Ti 0.5000 0.5000 0.5000
Co 0.2500 0.2500 0.2500
Co 0.2500 0.7500 0.7500
Co 0.7500 0.2500 0.7500
Co 0.7500 0.7500 0.2500
Mo 0.2500 0.2500 0.7500
Mo 0.2500 0.7500 0.2500
Mo 0.7500 0.2500 0.2500
Mo 0.7500 0.7500 0.7500



(4)
Structure and calculated X-ray diffraction stick pattern of Hf6CoN (the GGA-PBE geometry in Alexandria; Cu Kα X-rays).
Kinematic intensities with the Lorentz-polarization factor, no thermal factor.

The 8 most intense peaks (10° ≤ 2θ ≤ 90°), sorted by position:
2theta, d/Å, I/Imax
31.19, 2.868, 17
33.55, 2.671, 22
35.53, 2.527, 100
46.45, 1.955, 21
55.50, 1.656, 20
61.27, 1.513, 20
66.43, 1.407, 17
67.65, 1.385, 14

Crystal structure
Cell lengths 5.7334, 5.7372, 6.2817 Å; angles 90.05, 117.07, 119.98 degrees
Sites, in units of the cell vectors:
Hf 0.0299 0.0903 0.2639
Hf 0.3244 0.7341 0.2640
Hf 0.3256 0.5598 0.7362
Hf 0.6744 0.4402 0.2638
Hf 0.6756 0.2659 0.7360
Hf 0.9701 0.9097 0.7361
Co 0.5000 0.0000 0.0000
N 0.5000 0.5000 0.5000



(5)
Structure and calculated X-ray diffraction stick pattern of Hf2Nb2Co15 (the GGA-PBE geometry in Alexandria; Cu Kα X-rays).
Kinematic intensities with the Lorentz-polarization factor, no thermal factor.

The 8 most intense peaks (10° ≤ 2θ ≤ 90°), sorted by position:
2theta, d/Å, I/Imax
30.82, 2.901, 28
31.88, 2.807, 31
37.63, 2.390, 64
38.76, 2.323, 52
43.73, 2.070, 76
43.94, 2.061, 100
44.73, 2.026, 41
80.31, 1.196, 32

Crystal structure
Cell lengths 6.2766, 6.2766, 6.2766 Å; angles 82.54, 82.54, 82.54 degrees
Sites, in units of the cell vectors:
Hf 0.1461 0.1461 0.1461
Hf 0.8539 0.8539 0.8539
Nb 0.3936 0.3936 0.3936
Nb 0.6064 0.6064 0.6064
Co 0.0000 0.5000 0.5000
Co 0.1464 0.1464 0.6634
Co 0.1464 0.6634 0.1464
Co 0.1967 0.5000 0.8033
Co 0.1967 0.8033 0.5000
Co 0.3366 0.8536 0.8536
Co 0.5000 0.0000 0.5000
Co 0.5000 0.1967 0.8033
Co 0.5000 0.5000 0.0000
Co 0.5000 0.8033 0.1967
Co 0.6634 0.1464 0.1464
Co 0.8033 0.1967 0.5000
Co 0.8033 0.5000 0.1967
Co 0.8536 0.3366 0.8536
Co 0.8536 0.8536 0.3366



(6)
Structure and calculated X-ray diffraction stick pattern of NdHfCo (the GGA-PBE geometry in Alexandria; Cu Kα X-rays).
Kinematic intensities with the Lorentz-polarization factor, no thermal factor.

The 8 most intense peaks (10° ≤ 2θ ≤ 90°), sorted by position:
2theta, d/Å, I/Imax
13.76, 6.438, 21
31.25, 2.863, 100
34.20, 2.622, 39
39.74, 2.268, 34
39.89, 2.260, 56
53.53, 1.712, 22
57.69, 1.598, 19
67.08, 1.395, 23

Crystal structure
Cell lengths 4.5197, 4.5197, 6.4378 Å; angles 90.00, 90.00, 90.00 degrees
Sites, in units of the cell vectors:
Nd 0.2500 0.2500 0.1181
Nd 0.7500 0.7500 0.8819
Hf 0.2500 0.7500 0.5000
Hf 0.7500 0.2500 0.5000
Co 0.2500 0.2500 0.6941
Co 0.7500 0.7500 0.3059



(7)
Structure and calculated X-ray diffraction stick pattern of Hf6CoNi3 (the GGA-PBE geometry in Alexandria; Cu Kα X-rays).
Kinematic intensities with the Lorentz-polarization factor, no thermal factor.

The 8 most intense peaks (10° ≤ 2θ ≤ 90°), sorted by position:
2theta, d/Å, I/Imax
31.75, 2.818, 44
32.99, 2.715, 100
33.13, 2.704, 45
34.54, 2.597, 33
36.06, 2.491, 33
36.17, 2.484, 33
42.45, 2.130, 37
62.20, 1.493, 34

Crystal structure
Cell lengths 5.9080, 6.8490, 10.8631 Å; angles 90.00, 122.58, 90.00 degrees
Sites, in units of the cell vectors:
Hf 0.0771 0.1679 0.4272
Hf 0.0771 0.3321 0.9272
Hf 0.2851 0.6769 0.4298
Hf 0.2851 0.8231 0.9298
Hf 0.4204 0.0537 0.2515
Hf 0.4204 0.4463 0.7515
Hf 0.5796 0.5537 0.2485
Hf 0.5796 0.9463 0.7485
Hf 0.7149 0.1769 0.0702
Hf 0.7149 0.3231 0.5702
Hf 0.9229 0.6679 0.0728
Hf 0.9229 0.8321 0.5728
Co 0.5000 0.0000 0.5000
Co 0.5000 0.5000 0.0000
Ni 0.0000 0.0000 0.0000
Ni 0.0000 0.5000 0.5000
Ni 0.1775 0.1235 0.7507
Ni 0.1775 0.3765 0.2507
Ni 0.8225 0.6235 0.7493
Ni 0.8225 0.8765 0.2493



(8)
Structure and calculated X-ray diffraction stick pattern of Hf6CoNi5 (the GGA-PBE geometry in Alexandria; Cu Kα X-rays).
Kinematic intensities with the Lorentz-polarization factor, no thermal factor.

The 8 most intense peaks (10° ≤ 2θ ≤ 90°), sorted by position:
2theta, d/Å, I/Imax
27.83, 3.206, 27
28.19, 3.166, 27
40.02, 2.253, 100
40.13, 2.247, 99
40.33, 2.236, 49
40.46, 2.230, 49
72.59, 1.302, 34
73.23, 1.292, 33

Crystal structure
Cell lengths 7.7533, 7.7533, 4.4594 Å; angles 106.45, 106.45, 48.85 degrees
Sites, in units of the cell vectors:
Hf 0.0829 0.5853 0.3361
Hf 0.2477 0.7523 0.0000
Hf 0.4147 0.9171 0.6639
Hf 0.5853 0.0829 0.3361
Hf 0.7523 0.2477 0.0000
Hf 0.9171 0.4147 0.6639
Co 0.0000 0.0000 0.5000
Ni 0.1653 0.1653 0.1594
Ni 0.3362 0.3362 0.8423
Ni 0.5000 0.5000 0.5000
Ni 0.6638 0.6638 0.1577
Ni 0.8347 0.8347 0.8406



- Number 1 is which compound?
  Hf4MnCo3



Repeat the first record exactly.
Structure and calculated X-ray diffraction stick pattern of Hf4MnCo3 (the GGA-PBE geometry in Alexandria; Cu Kα X-rays).
Kinematic intensities with the Lorentz-polarization factor, no thermal factor.

The 8 most intense peaks (10° ≤ 2θ ≤ 90°), sorted by position:
2theta, d/Å, I/Imax
28.28, 3.156, 30
40.43, 2.231, 100
50.07, 1.822, 9
58.50, 1.578, 17
66.21, 1.411, 10
73.48, 1.289, 22
73.58, 1.287, 11
87.42, 1.116, 7

Crystal structure
Cell lengths 3.1558, 4.4674, 8.9148 Å; angles 90.00, 90.00, 90.00 degrees
Sites, in units of the cell vectors:
Hf 0.0000 0.0000 0.0000
Hf 0.0000 0.0000 0.5000
Hf 0.0000 0.5000 0.2461
Hf 0.0000 0.5000 0.7539
Mn 0.5000 0.5000 0.0000
Co 0.5000 0.0000 0.2509
Co 0.5000 0.0000 0.7491
Co 0.5000 0.5000 0.5000



- What is the formula in the sixth record?
  NdHfCo